BaEr2CoO5: simulated X-ray powder pattern (λ = 1.5418 Å (Cu Kα)), based on DFT lattice parameters and positions (PBE+U).

Principal peaks in the range 2θ from 10° to 80°, most intense first:
2θ = 32.37°, 2.766 Å, rel. 100
2θ = 27.97°, 3.190 Å, rel. 34
2θ = 30.90°, 2.894 Å, rel. 31
2θ = 56.75°, 1.622 Å, rel. 27
2θ = 55.89°, 1.645 Å, rel. 22
2θ = 58.50°, 1.578 Å, rel. 16
2θ = 46.34°, 1.959 Å, rel. 15
2θ = 44.48°, 2.037 Å, rel. 15
2θ = 48.33°, 1.883 Å, rel. 14
2θ = 40.07°, 2.250 Å, rel. 13

Structure:
Cell: 6.694 6.694 6.694 Å, 147.33 128.77 62.10°
Sites, in units of the cell vectors:
1 Ba 0.000 0.000 0.000
2 Er 0.296 0.796 0.500
3 Er 0.704 0.204 0.500
4 Co 0.500 0.500 0.000
5 O 0.107 0.348 0.759
6 O 0.412 0.652 0.759
7 O 0.500 0.000 0.500
8 O 0.588 0.348 0.241
9 O 0.893 0.652 0.241

***

BaCoF: simulated X-ray powder pattern (λ = 1.5418 Å (Cu Kα)), based on DFT lattice parameters and positions (PBE+U).

Principal peaks in the range 2θ from 10° to 80°, most intense first:
2θ = 27.83°, 3.206 Å, rel. 100
2θ = 45.32°, 2.001 Å, rel. 29
2θ = 52.19°, 1.753 Å, rel. 28
2θ = 30.25°, 2.955 Å, rel. 28
2θ = 38.79°, 2.321 Å, rel. 26
2θ = 42.85°, 2.110 Å, rel. 25
2θ = 23.85°, 3.731 Å, rel. 23
2θ = 33.47°, 2.678 Å, rel. 22
2θ = 33.57°, 2.670 Å, rel. 22
2θ = 28.47°, 3.136 Å, rel. 16

Structure:
Cell: 6.705 4.643 9.467 Å, 90.00 110.57 90.00°
Sites, in units of the cell vectors:
1 Ba 0.000 0.000 0.000
2 Ba 0.212 0.500 0.422
3 Ba 0.500 0.500 0.000
4 Ba 0.712 0.000 0.422
5 Co 0.038 0.500 0.711
6 Co 0.163 0.000 0.711
7 Co 0.538 0.000 0.711
8 Co 0.663 0.500 0.711
9 F 0.181 0.500 0.114
10 F 0.279 0.000 0.307
11 F 0.681 0.000 0.114
12 F 0.779 0.500 0.307

***

BaCoF: simulated X-ray powder pattern (λ = 1.5418 Å (Cu Kα)), based on DFT lattice parameters and positions (PBE+U).

Principal peaks in the range 2θ from 10° to 80°, most intense first:
2θ = 33.17°, 2.701 Å, rel. 100
2θ = 29.72°, 3.006 Å, rel. 64
2θ = 60.08°, 1.540 Å, rel. 40
2θ = 36.91°, 2.435 Å, rel. 38
2θ = 14.74°, 6.012 Å, rel. 35
2θ = 24.18°, 3.681 Å, rel. 33
2θ = 19.33°, 4.593 Å, rel. 31
2θ = 54.98°, 1.670 Å, rel. 25
2θ = 45.63°, 1.988 Å, rel. 24
2θ = 45.14°, 2.009 Å, rel. 16

Structure:
Cell: 10.020 7.951 4.018 Å, 90.00 113.55 90.00°
Sites, in units of the cell vectors:
1 Ba 0.250 0.250 0.000
2 Ba 0.250 0.750 0.000
3 Ba 0.750 0.250 0.000
4 Ba 0.750 0.750 0.000
5 Co 0.051 0.000 0.301
6 Co 0.449 0.500 0.699
7 Co 0.551 0.500 0.301
8 Co 0.949 0.000 0.699
9 F 0.194 0.500 0.445
10 F 0.306 0.000 0.555
11 F 0.694 0.000 0.445
12 F 0.806 0.500 0.555

***

Ba2FeCoF9: simulated X-ray powder pattern (λ = 1.5418 Å (Cu Kα)), based on DFT lattice parameters and positions (PBE+U).

Principal peaks in the range 2θ from 10° to 80°, most intense first:
2θ = 25.11°, 3.546 Å, rel. 100
2θ = 30.92°, 2.892 Å, rel. 54
2θ = 41.95°, 2.154 Å, rel. 53
2θ = 27.91°, 3.196 Å, rel. 47
2θ = 24.57°, 3.623 Å, rel. 46
2θ = 39.83°, 2.264 Å, rel. 44
2θ = 25.31°, 3.519 Å, rel. 42
2θ = 28.04°, 3.182 Å, rel. 41
2θ = 27.54°, 3.239 Å, rel. 38
2θ = 24.15°, 3.686 Å, rel. 37

Structure:
Cell: 5.787 17.957 9.462 Å, 90.00 126.06 90.00°
Sites, in units of the cell vectors:
1 Ba 0.055 0.037 0.311
2 Ba 0.055 0.463 0.811
3 Ba 0.195 0.718 0.919
4 Ba 0.195 0.782 0.419
5 Ba 0.805 0.218 0.581
6 Ba 0.805 0.282 0.081
7 Ba 0.945 0.537 0.189
8 Ba 0.945 0.963 0.689
9 Fe 0.360 0.125 0.089
10 Fe 0.360 0.375 0.589
11 Fe 0.640 0.625 0.411
12 Fe 0.640 0.875 0.911
13 Co 0.445 0.587 0.723
14 Co 0.445 0.913 0.223
15 Co 0.555 0.087 0.777
16 Co 0.555 0.413 0.277
17 F 0.006 0.071 0.920
18 F 0.006 0.429 0.420
19 F 0.119 0.086 0.612
20 F 0.119 0.414 0.112
21 F 0.198 0.164 0.204
22 F 0.198 0.336 0.704
23 F 0.259 0.662 0.230
24 F 0.259 0.838 0.730
25 F 0.267 0.210 0.942
26 F 0.267 0.290 0.442
27 F 0.371 0.695 0.697
28 F 0.371 0.805 0.197
29 F 0.429 0.583 0.932
30 F 0.429 0.917 0.432
31 F 0.446 0.578 0.506
32 F 0.446 0.922 0.006
33 F 0.478 0.032 0.239
34 F 0.478 0.468 0.739
35 F 0.522 0.532 0.261
36 F 0.522 0.968 0.761
37 F 0.554 0.078 0.994
38 F 0.554 0.422 0.494
39 F 0.571 0.083 0.568
40 F 0.571 0.417 0.068
41 F 0.629 0.195 0.803
42 F 0.629 0.305 0.303
43 F 0.733 0.710 0.558
44 F 0.733 0.790 0.058
45 F 0.741 0.162 0.270
46 F 0.741 0.338 0.770
47 F 0.802 0.664 0.296
48 F 0.802 0.836 0.796
49 F 0.881 0.586 0.888
50 F 0.881 0.914 0.388
51 F 0.994 0.571 0.580
52 F 0.994 0.929 0.080